Starting from a cell relaxed with GGA-PBE, the powder XRD pattern of K2TiHF7 was simulated for Cu Ka.
Peak positions follow from Bragg's law for the DFT cell and can differ from measured ones.

Largest 10 diffraction maxima, low angle first, 2θ = 10–90°:
2theta	I (rel.)
17.64	28
20.68	32
22.26	17
23.87	24
26.79	67
29.14	18
29.70	27
30.11	21
35.71	21
42.11	100

Structure:
abc: 6.214 6.016 9.283
angles: 90.00 99.38 90.00
Space group P2_1/m (No. 11)
Asymmetric unit:
K 0.177 0.250 0.160 [2 per cell]
K 0.242 0.750 0.494 [2 per cell]
Ti 0.302 0.250 0.713 [2 per cell]
H 0.357 0.750 0.044 [2 per cell]
F 0.092 0.029 0.724 [4 per cell]
F 0.197 0.750 0.034 [2 per cell]
F 0.219 0.250 0.508 [2 per cell]
F 0.402 0.250 0.922 [2 per cell]
F 0.489 0.528 0.308 [4 per cell]